Starting from a DFT-relaxed cell (PBE, the Materials Project), the PXRD pattern of Na3NpH14O12 was calculated for a wavelength of 1.5418 Å.
Peak positions follow from Bragg's law for the DFT cell and can differ from measured ones.

The 8 most intense peaks (2θ = 10–90°), sorted by position:
2θ/deg, d [Å], intensity, h k l
13.08, 6.768, 100, 1 1 -1
14.90, 5.947, 45, 2 0 0
17.20, 5.156, 52, 2 0 -2
17.35, 5.112, 60, 1 1 1
22.12, 4.018, 35, 3 1 -1
24.86, 3.581, 37, 2 2 0
26.71, 3.338, 33, 4 0 -2
36.06, 2.491, 33, 3 3 -1

Structure:
```
data_Na3NpH14O12
_space_group_name_H-M_alt 'C 1 2/c 1'
_space_group_IT_number 15
_cell_length_a 13.5228
_cell_length_b 8.9713
_cell_length_c 11.0654
_cell_angle_alpha 90.00
_cell_angle_beta 118.41
_cell_angle_gamma 90.00
loop_
_space_group_symop_operation_xyz
'x,y,z'
'-x,-y,-z'
'-x,y,-z+1/2'
'x,-y,z+1/2'
'x+1/2,y+1/2,z'
'-x+1/2,-y+1/2,-z'
'-x+1/2,y+1/2,-z+1/2'
'x+1/2,-y+1/2,z+1/2'
loop_
_atom_site_label
_atom_site_fract_x
_atom_site_fract_y
_atom_site_fract_z
Na1 0.0000 0.0791 0.2500
Na2 0.1288 0.3422 0.8861
Np1 0.2500 0.2500 0.5000
H1 0.0354 0.1634 0.4931
H2 0.0843 0.4417 0.2076
H3 0.1016 0.4409 0.6148
H4 0.1359 0.0686 0.0459
H5 0.1364 0.1124 0.6866
H6 0.1675 0.2021 0.1554
H7 0.1996 0.0493 0.8394
O1 0.0625 0.4560 0.6697
O2 0.1071 0.1171 0.5135
O3 0.1320 0.1054 0.7739
O4 0.1510 0.2712 0.3047
O5 0.1605 0.1754 0.0648
O6 0.1959 0.4346 0.5327
```